Calculated PXRD pattern
Compound: Pr3SmTc
Radiation: Cu Kα (weighted mean of Kα1 and Kα2)
Structure: the GGA-PBE geometry in Alexandria
Peak positions follow from Bragg's law for the DFT cell and can differ from measured ones.

a = 18.540 Å, b = 10.583 Å, c = 6.532 Å
α = 90.00°, β = 95.52°, γ = 90.00°
Space group C2/c (No. 15)
Inequivalent atoms, fractional coordinates:
Pr 0.138 0.132 0.154 [8 per cell]
Pr 0.174 0.464 0.038 [8 per cell]
Pr 0.181 0.211 0.658 [8 per cell]
Sm 0.000 0.097 0.750 [4 per cell]
Sm 0.000 0.380 0.250 [4 per cell]
Tc 0.064 0.348 0.798 [8 per cell]

Principal peaks in the range 5 to 70 degrees two-theta, by intensity:
(hkl), 2θ (°), I (rel.)
2 0 2, 30.0, 100
3 3 0, 29.2, 89
6 2 1, 37.6, 83
6 0 0, 29.0, 65
4 2 -1, 28.2, 60
4 0 -2, 32.1, 47
2 4 0, 35.3, 41
3 1 -2, 31.0, 37
4 6 1, 58.2, 37
1 3 1, 29.4, 34